[1]
VSe2Br: computed powder X-ray diffraction pattern (λ = 1.5418 Å (Cu Kα)), based on a PBE-relaxed structure.
No peak broadening, texture or thermal motion is included.

Peak list (10 most intense, 15° ≤ 2θ ≤ 90°, low angle first)
| 2theta | I (rel.) |
| --- | --- |
| 18.00 | 98 |
| 27.14 | 339 |
| 33.65 | 1000 |
| 34.79 | 121 |
| 34.94 | 238 |
| 38.04 | 165 |
| 39.95 | 145 |
| 44.06 | 147 |
| 55.69 | 203 |
| 55.94 | 199 |

Atomic structure:
```
data_VSe2Br
_chemical_formula_sum 'V1 Se2 Br1'
_space_group_name_H-M_alt 'P -1'
_space_group_IT_number 2
_space_group_name_Hall '-P 1'
_cell_length_a 3.2895
_cell_length_b 3.3009
_cell_length_c 10.0348
_cell_angle_alpha 80.54
_cell_angle_beta 89.86
_cell_angle_gamma 60.13
loop_
_atom_site_label
_atom_site_fract_x
_atom_site_fract_y
_atom_site_fract_z
V1 0.0000 0.0000 0.0000
Se1 0.2808 0.4412 0.8375
Br1 0.5000 0.0000 0.5000
```

---

[2]
Tl3Cd2In8: computed powder X-ray diffraction pattern (λ = 1.5418 Å (Cu Kα)), based on a PBE-relaxed structure.
No peak broadening, texture or thermal motion is included.

Peak list (10 most intense, 15° ≤ 2θ ≤ 90°, low angle first)
| 2theta | I (rel.) |
| --- | --- |
| 24.73 | 193 |
| 30.69 | 149 |
| 31.21 | 395 |
| 32.70 | 187 |
| 34.59 | 1000 |
| 35.11 | 154 |
| 36.23 | 339 |
| 36.47 | 145 |
| 64.11 | 181 |
| 67.73 | 225 |

Atomic structure:
```
data_Tl3Cd2In8
_chemical_formula_sum 'Tl6 Cd4 In16'
_space_group_name_H-M_alt 'C m m m'
_space_group_IT_number 65
_space_group_name_Hall '-C 2 2'
_cell_length_a 7.7336
_cell_length_b 19.7079
_cell_length_c 4.9585
_cell_angle_alpha 90.00
_cell_angle_beta 90.00
_cell_angle_gamma 90.00
loop_
_atom_site_label
_atom_site_fract_x
_atom_site_fract_y
_atom_site_fract_z
Tl1 0.0000 0.0000 0.0000
Tl2 0.2037 0.5000 0.5000
Cd1 0.0000 0.2328 0.0000
In1 0.0000 0.1399 0.5000
In2 0.0000 0.3216 0.5000
In3 0.2111 0.3800 0.0000
```

---

[3]
SrCaLa14: computed powder X-ray diffraction pattern (λ = 1.5418 Å (Cu Kα)), based on a PBE-relaxed structure.
No peak broadening, texture or thermal motion is included.

Peak list (10 most intense, 15° ≤ 2θ ≤ 90°, low angle first)
| 2theta | I (rel.) |
| --- | --- |
| 29.03 | 1000 |
| 33.65 | 506 |
| 34.72 | 26 |
| 48.33 | 359 |
| 57.37 | 425 |
| 60.18 | 122 |
| 70.69 | 39 |
| 78.22 | 166 |
| 80.61 | 106 |
| 80.76 | 47 |

Atomic structure:
```
data_SrCaLa14
_chemical_formula_sum 'Sr1 Ca1 La14'
_space_group_name_H-M_alt 'P 4/m m m'
_space_group_IT_number 123
_space_group_name_Hall '-P 4 2'
_cell_length_a 7.5388
_cell_length_b 7.5388
_cell_length_c 10.6388
_cell_angle_alpha 90.00
_cell_angle_beta 90.00
_cell_angle_gamma 90.00
loop_
_atom_site_label
_atom_site_fract_x
_atom_site_fract_y
_atom_site_fract_z
Sr1 0.0000 0.0000 0.0000
Ca1 0.5000 0.5000 0.0000
La1 0.0000 0.0000 0.5000
La2 0.0000 0.5000 0.0000
La3 0.0000 0.5000 0.5000
La4 0.2528 0.2528 0.2604
La5 0.5000 0.5000 0.5000
```